# LiCo2OF3
Simulated powder X-ray diffraction pattern, a wavelength of 1.5418 Å. Input: a crystal structure in Alexandria, relaxed with PBE+U.
Neutral-atom scattering factors, no anomalous dispersion.

Cell and atoms:
```
LiCo2OF3
1.0
6.1783 0.0000 0.0000
0.0000 6.1316 0.0000
-0.0967 0.0000 8.4869
Li Co O F
4 8 4 12
Direct
0.0000 0.0000 0.0000
0.2323 0.2341 0.7495
0.5000 0.0043 0.0000
0.7677 0.2341 0.2505
0.0000 0.4304 0.5000
0.2208 0.4811 0.1326
0.2348 0.7224 0.7551
0.2634 0.9949 0.3739
0.5000 0.4397 0.5000
0.7366 0.9949 0.6261
0.7652 0.7224 0.2449
0.7792 0.4811 0.8674
0.0205 0.4941 0.7341
0.2594 0.2350 0.5091
0.7406 0.2350 0.4909
0.9795 0.4941 0.2659
0.0076 0.9817 0.7620
0.2456 0.7526 0.9997
0.2479 0.2184 0.9965
0.2771 0.7169 0.5052
0.4747 0.9656 0.7659
0.4870 0.4818 0.7558
0.5130 0.4818 0.2442
0.5253 0.9656 0.2341
0.7229 0.7169 0.4948
0.7521 0.2184 0.0035
0.7544 0.7526 0.0003
0.9924 0.9817 0.2380
```

The 12 most intense peaks (5 to 70 degrees two-theta), by intensity:
(hkl)  d/Å  I_rel
2 1 1  2.616  100
1 1 -2  3.050  47
2 2 4  1.513  45
1 1 2  3.026  44
0 0 1  8.487  44
0 1 3  2.569  44
2 2 -4  1.525  42
1 2 1  2.609  41
0 1 0  6.132  36
0 1 2  3.489  34
2 1 -1  2.631  32
2 2 0  2.176  27